This entry pairs a crystal structure of TiBe9V2 with its simulated X-ray powder pattern. Radiation: CuKα. Structure: a cell relaxed with GGA-PBE.

Top 10 peaks for 2θ from 10° to 90°, low angle first:
Position (°2θ)  I (rel.)
12.87  296
23.49  527
24.38  594
25.90  356
35.24  293
40.51  1000
41.29  778
48.53  228
49.38  753
74.75  271

Structural model:
Unit cell a=4.3733 b=4.3733 c=13.7623 alpha=90.00 beta=90.00 gamma=120.00
Space group P6_3/mmc (No. 194)
Asymmetric unit:
Ti (0.3333, 0.6667, 0.2500) (multiplicity 2)
Be (0.0000, 0.0000, 0.0000) (multiplicity 2)
Be (0.0000, 0.0000, 0.2500) (multiplicity 2)
Be (0.1691, 0.3383, 0.6239) (multiplicity 12)
Be (0.3333, 0.6667, 0.7500) (multiplicity 2)
V (0.3333, 0.6667, 0.0343) (multiplicity 4)



This entry pairs a crystal structure of Li6LaPd2 with its simulated X-ray powder pattern. Radiation: CuKα. Structure: a cell relaxed with GGA-PBE.

Top 10 peaks for 2θ from 10° to 90°, low angle first:
Position (°2θ)  I (rel.)
27.65  381
31.39  796
32.50  980
33.43  1000
40.29  848
44.98  365
45.81  350
47.89  321
57.19  429
61.96  468

Structural model:
Unit cell a=4.0303 b=4.0303 c=10.7691 alpha=90.00 beta=90.00 gamma=90.00
Space group P4/mmm (No. 123)
Asymmetric unit:
Li (0.0000, 0.0000, 0.0000) (multiplicity 1)
Li (0.0000, 0.5000, 0.2141) (multiplicity 4)
Li (0.5000, 0.5000, 0.0000) (multiplicity 1)
La (0.0000, 0.0000, 0.5000) (multiplicity 1)
Pd (0.5000, 0.5000, 0.3728) (multiplicity 2)



This entry pairs a crystal structure of Pr2Zn3PdPt4 with its simulated X-ray powder pattern. Radiation: CuKα. Structure: a cell relaxed with GGA-PBE.

Top 10 peaks for 2θ from 10° to 90°, low angle first:
Position (°2θ)  I (rel.)
23.29  140
31.99  287
34.61  1000
44.07  495
44.40  264
45.31  298
64.08  162
65.06  247
74.92  213
81.98  148

Structural model:
Unit cell a=4.1099 b=4.1099 c=11.4588 alpha=90.00 beta=90.00 gamma=90.00
Space group P-4m2 (No. 115)
Asymmetric unit:
Pr (0.0000, 0.5000, 0.2486) (multiplicity 2)
Zn (0.0000, 0.5000, 0.8691) (multiplicity 2)
Zn (0.5000, 0.5000, 0.5000) (multiplicity 1)
Pd (0.0000, 0.0000, 0.5000) (multiplicity 1)
Pt (0.0000, 0.0000, 0.0000) (multiplicity 1)
Pt (0.0000, 0.5000, 0.6524) (multiplicity 2)
Pt (0.5000, 0.5000, 0.0000) (multiplicity 1)



This entry pairs a crystal structure of Rb7H5Cl with its simulated X-ray powder pattern. Radiation: CuKα. Structure: a cell relaxed with GGA-PBE.

Top 10 peaks for 2θ from 10° to 90°, low angle first:
Position (°2θ)  I (rel.)
23.74  152
24.52  230
24.73  160
25.22  1000
26.93  217
29.50  348
30.70  162
41.97  102
42.46  114
50.04  175

Structural model:
Unit cell a=14.5213 b=4.2583 c=28.2549 alpha=90.00 beta=90.11 gamma=90.00
Space group C2/m (No. 12)
Asymmetric unit:
Rb (0.0888, 0.0000, 0.4060) (multiplicity 4)
Rb (0.0897, 0.0000, 0.0941) (multiplicity 4)
Rb (0.0950, 0.5000, 0.2498) (multiplicity 4)
Rb (0.1371, 0.5000, 0.9678) (multiplicity 4)
Rb (0.1376, 0.5000, 0.5321) (multiplicity 4)
Rb (0.1514, 0.0000, 0.8348) (multiplicity 4)
Rb (0.1522, 0.0000, 0.6654) (multiplicity 4)
H (0.0000, 0.0000, 0.0000) (multiplicity 2)
H (0.0000, 0.0000, 0.5000) (multiplicity 2)
H (0.0434, 0.5000, 0.8792) (multiplicity 4)
H (0.0443, 0.5000, 0.6209) (multiplicity 4)
H (0.2304, 0.5000, 0.0685) (multiplicity 4)
H (0.2300, 0.5000, 0.4313) (multiplicity 4)
Cl (0.2216, 0.5000, 0.7504) (multiplicity 4)